# Zr4Rh2N
Calculated powder X-ray diffraction pattern, Cu Kα. Input: a structure optimized by DFT (PBE).
Kinematic intensities with the Lorentz-polarization factor, no thermal factor.

Cell lengths 12.4749, 12.4749, 12.4749 Å; angles 90.00, 90.00, 90.00 degrees
Space group Fd-3m (No. 227, origin choice 2)
Unique sites:
Zr: 0.0000 0.0000 0.0000 [16 per cell]
Zr: 0.0576 0.3750 0.8750 [48 per cell]
Rh: 0.0339 0.0339 0.2161 [32 per cell]
N: 0.0000 0.0000 0.5000 [16 per cell]

Main lines, in order of rising 2θ (2θ = 10–90°):
hkl  2θ (°)  d_spacing  Rel. int.
4 2 2  35.2  2.546  30.3
3 3 3  37.5  2.401  100.0
4 4 0  40.9  2.205  28.3
6 6 0  63.3  1.470  30.5
5 5 5  64.7  1.440  8.9
9 3 3  75.9  1.254  17.5


# RuN
Calculated powder X-ray diffraction pattern, Cu Kα. Input: a structure optimized by DFT (PBE).
Kinematic intensities with the Lorentz-polarization factor, no thermal factor.

```
data_RuN
_chemical_formula_sum 'Ru4 N4'
_symmetry_space_group_name_H-M 'F m -3 m'
_symmetry_Int_Tables_number 225
_symmetry_space_group_name_Hall '-F 4 2 3'
_cell_length_a 4.3349
_cell_length_b 4.3349
_cell_length_c 4.3349
_cell_angle_alpha 90.00
_cell_angle_beta 90.00
_cell_angle_gamma 90.00
loop_
_atom_site_label
_atom_site_fract_x
_atom_site_fract_y
_atom_site_fract_z
_atom_site_occupancy
Ru1 0.0000 0.0000 0.0000 1
N1 0.0000 0.0000 0.5000 1
```

Main lines, in order of rising 2θ (2θ = 10–90°):
hkl  2θ (°)  d_spacing  Rel. int.
1 1 1  35.9  2.503  100.0
2 0 0  41.7  2.167  81.8
2 2 0  60.4  1.533  51.4
3 1 1  72.3  1.307  40.2
2 2 2  76.1  1.251  16.8


# RuN
Calculated powder X-ray diffraction pattern, Cu Kα. Input: a structure optimized by DFT (PBE).
Kinematic intensities with the Lorentz-polarization factor, no thermal factor.

```
data_RuN
_chemical_formula_sum 'Ru4 N4'
_symmetry_space_group_name_H-M 'F -4 3 m'
_symmetry_Int_Tables_number 216
_symmetry_space_group_name_Hall 'F -4 2 3'
_cell_length_a 4.5643
_cell_length_b 4.5643
_cell_length_c 4.5643
_cell_angle_alpha 90.00
_cell_angle_beta 90.00
_cell_angle_gamma 90.00
loop_
_atom_site_label
_atom_site_fract_x
_atom_site_fract_y
_atom_site_fract_z
_atom_site_occupancy
Ru1 0.0000 0.0000 0.0000 1
N1 0.2500 0.2500 0.7500 1
```

Main lines, in order of rising 2θ (2θ = 10–90°):
hkl  2θ (°)  d_spacing  Rel. int.
1 1 1  34.0  2.635  100.0
2 0 0  39.5  2.282  37.1
2 2 0  57.1  1.614  39.5
3 1 1  68.1  1.376  37.8
2 2 2  71.6  1.318  8.8
4 0 0  85.0  1.141  6.1